Record 1
Diffraction record for Ac2Nd3Sm4. The PXRD pattern is computed, not measured: it uses DFT lattice parameters and positions (PBE) and Cu Kα X-rays.

Top 10 peaks for 5 to 70 degrees two-theta, by intensity:
hkl  d_spacing  I_rel
2 2 -1  3.133  100
1 1 -3  2.880  90
1 1 2  3.092  87
0 3 1  2.793  64
1 2 1  3.331  53
2 1 -2  3.448  46
2 1 1  3.061  39
3 0 0  2.753  35
3 0 -2  2.849  34
2 2 0  3.023  26

```
data_Ac2Nd3Sm4
_chemical_formula_sum 'Ac4 Nd6 Sm8'
_cell_length_a 8.912
_cell_length_b 8.875
_cell_length_c 9.141
_cell_angle_alpha 90.00
_cell_angle_beta 112.07
_cell_angle_gamma 90.00
_symmetry_space_group_name_H-M 'P 1 21/c 1'
_symmetry_Int_Tables_number 14
loop_
_symmetry_equiv_pos_as_xyz
'x,y,z'
'-x,-y,-z'
'-x,y+1/2,-z+1/2'
'x,-y+1/2,z+1/2'
loop_
_atom_site_label
_atom_site_fract_x
_atom_site_fract_y
_atom_site_fract_z
_atom_site_occupancy
Ac1 0.175 0.150 0.050 1
Nd1 0.249 0.677 0.252 1
Nd2 0.500 0.000 0.500 1
Sm1 0.082 0.536 0.868 1
Sm2 0.479 0.136 0.855 1
```



Record 2
Diffraction record for RbBa2GeO4. The PXRD pattern is computed, not measured: it uses DFT lattice parameters and positions (PBE) and Cu Kα X-rays.

Top 10 peaks for 5 to 70 degrees two-theta, by intensity:
hkl  d_spacing  I_rel
1 1 2  3.243  100
1 3 2  2.690  81
0 4 0  3.405  47
1 3 1  2.887  46
0 0 4  3.211  45
0 2 3  3.625  37
1 3 5  1.941  27
2 0 0  1.955  25
0 4 4  2.336  24
0 2 5  2.404  23

```
data_RbBa2GeO4
_chemical_formula_sum 'Rb4 Ba8 Ge4 O16'
_cell_length_a 3.909
_cell_length_b 13.620
_cell_length_c 12.844
_cell_angle_alpha 90.00
_cell_angle_beta 90.00
_cell_angle_gamma 90.00
_symmetry_space_group_name_H-M 'C m c m'
_symmetry_Int_Tables_number 63
_symmetry_space_group_name_Hall '-C 2c 2'
loop_
_atom_site_label
_atom_site_fract_x
_atom_site_fract_y
_atom_site_fract_z
_atom_site_occupancy
Rb1 0.000 0.097 0.250 1
Ba1 0.000 0.372 0.038 1
Ge1 0.000 0.183 0.750 1
O1 0.000 0.000 0.000 1
O2 0.000 0.261 0.634 1
O3 0.000 0.370 0.250 1
```



Record 3
Diffraction record for ThZr4. The PXRD pattern is computed, not measured: it uses DFT lattice parameters and positions (PBE) and Cu Kα X-rays.

Top 10 peaks for 5 to 70 degrees two-theta, by intensity:
hkl  d_spacing  I_rel
2 1 1  2.673  100
0 0 2  2.315  49
2 1 3  1.396  38
1 3 2  1.637  33
1 0 1  3.911  12
1 1 0  5.177  8
2 0 0  3.661  7
2 3 1  1.859  4
4 1 1  1.658  3
2 0 2  1.955  3

```
data_ThZr4
_chemical_formula_sum 'Th2 Zr8'
_cell_length_a 7.322
_cell_length_b 7.322
_cell_length_c 4.626
_cell_angle_alpha 90.00
_cell_angle_beta 90.00
_cell_angle_gamma 90.00
_symmetry_space_group_name_H-M 'I 4/m'
_symmetry_Int_Tables_number 87
_symmetry_space_group_name_Hall '-I 4'
loop_
_atom_site_label
_atom_site_fract_x
_atom_site_fract_y
_atom_site_fract_z
_atom_site_occupancy
Th1 0.000 0.000 0.000 1
Zr1 0.092 0.306 0.500 1
```



Record 4
Diffraction record for ZrTi2As3. The PXRD pattern is computed, not measured: it uses DFT lattice parameters and positions (PBE) and Cu Kα X-rays.

Top 10 peaks for 5 to 70 degrees two-theta, by intensity:
hkl  d_spacing  I_rel
0 3 2  2.278  100
1 2 1  2.646  85
1 1 2  2.296  67
0 3 1  2.941  63
1 1 1  2.978  51
2 0 0  1.799  33
1 4 0  2.053  29
1 0 2  2.359  29
1 2 2  2.133  23
0 2 3  1.923  21

```
data_ZrTi2As3
_chemical_formula_sum 'Zr2 Ti4 As6'
_cell_length_a 3.599
_cell_length_b 9.999
_cell_length_c 6.246
_cell_angle_alpha 90.00
_cell_angle_beta 90.00
_cell_angle_gamma 90.00
_symmetry_space_group_name_H-M 'P m c 21'
_symmetry_Int_Tables_number 26
loop_
_symmetry_equiv_pos_as_xyz
'x,y,z'
'-x,-y,z+1/2'
'-x,y,z'
'x,-y,z+1/2'
loop_
_atom_site_label
_atom_site_fract_x
_atom_site_fract_y
_atom_site_fract_z
_atom_site_occupancy
Zr1 0.000 0.122 0.000 1
Ti1 0.000 0.212 0.490 1
Ti2 0.500 0.485 0.500 1
As1 0.000 0.387 0.773 1
As2 0.500 0.065 0.666 1
As3 0.500 0.289 0.219 1
```



Record 5
Diffraction record for Ba2ZnPd6Pb. The PXRD pattern is computed, not measured: it uses DFT lattice parameters and positions (PBE) and Cu Kα X-rays.

Top 10 peaks for 5 to 70 degrees two-theta, by intensity:
hkl  d_spacing  I_rel
2 2 -2  2.407  100
4 0 0  2.342  82
3 1 -2  3.259  77
1 1 1  3.388  62
1 1 -3  2.324  59
3 1 -1  3.325  58
2 2 0  2.443  55
2 0 -1  6.341  50
5 1 -3  2.265  49
4 2 -2  2.125  31

```
data_Ba2ZnPd6Pb
_chemical_formula_sum 'Ba4 Zn2 Pd12 Pb2'
_cell_length_a 12.699
_cell_length_b 5.726
_cell_length_c 8.893
_cell_angle_alpha 90.00
_cell_angle_beta 132.47
_cell_angle_gamma 90.00
_symmetry_space_group_name_H-M 'C 1 2/m 1'
_symmetry_Int_Tables_number 12
loop_
_symmetry_equiv_pos_as_xyz
'x,y,z'
'-x,-y,-z'
'-x,y,-z'
'x,-y,z'
'x+1/2,y+1/2,z'
'-x+1/2,-y+1/2,-z'
'-x+1/2,y+1/2,-z'
'x+1/2,-y+1/2,z'
loop_
_atom_site_label
_atom_site_fract_x
_atom_site_fract_y
_atom_site_fract_z
_atom_site_occupancy
Ba1 0.241 0.000 0.282 1
Zn1 0.000 0.500 0.000 1
Pd1 0.017 0.257 0.772 1
Pd2 0.246 0.500 0.092 1
Pb1 0.000 0.000 0.500 1
```



Record 6
Diffraction record for Li3Al3Pd2. The PXRD pattern is computed, not measured: it uses DFT lattice parameters and positions (PBE) and Cu Kα X-rays.

Top 10 peaks for 5 to 70 degrees two-theta, by intensity:
hkl  d_spacing  I_rel
0 1 2  3.530  100
1 1 0  2.159  44
0 1 8  2.165  43
2 0 2  1.842  35
1 0 4  3.057  23
2 0 8  1.529  14
1 0 10  1.847  11
1 2 2  1.401  9
0 2 4  1.763  5
0 2 10  1.403  4

```
data_Li3Al3Pd2
_chemical_formula_sum 'Li9 Al9 Pd6'
_cell_length_a 4.3174
_cell_length_b 4.3174
_cell_length_c 21.2412
_cell_angle_alpha 90.00
_cell_angle_beta 90.00
_cell_angle_gamma 120.00
_symmetry_space_group_name_H-M 'R 3 m'
_symmetry_Int_Tables_number 160
_symmetry_space_group_name_Hall 'R 3 -2"'
loop_
_atom_site_label
_atom_site_fract_x
_atom_site_fract_y
_atom_site_fract_z
_atom_site_occupancy
Li1 0.0000 0.0000 0.0000 1
Li2 0.0000 0.0000 0.1248 1
Li3 0.0000 0.0000 0.4956 1
Al1 0.0000 0.0000 0.3729 1
Al2 0.0000 0.0000 0.6214 1
Al3 0.0000 0.0000 0.8725 1
Pd1 0.0000 0.0000 0.2510 1
Pd2 0.0000 0.0000 0.7446 1
```



Record 7
Diffraction record for RbLi2UF8. The PXRD pattern is computed, not measured: it uses DFT lattice parameters and positions (PBE) and Cu Kα X-rays.

Top 10 peaks for 5 to 70 degrees two-theta, by intensity:
hkl  d_spacing  I_rel
0 1 2  4.709  100
1 0 4  3.721  60
0 2 4  2.354  55
0 0 3  7.012  44
1 1 0  3.040  38
1 1 6  2.297  32
2 0 8  1.861  29
1 2 2  1.955  28
1 0 1  5.109  23
2 2 0  1.519  22

```
data_RbLi2UF8
_chemical_formula_sum 'Rb3 Li6 U3 F24'
_cell_length_a 6.0809
_cell_length_b 6.0809
_cell_length_c 21.0373
_cell_angle_alpha 90.00
_cell_angle_beta 90.00
_cell_angle_gamma 120.00
_symmetry_space_group_name_H-M 'R -3 m'
_symmetry_Int_Tables_number 166
_symmetry_space_group_name_Hall '-R 3 2"'
loop_
_atom_site_label
_atom_site_fract_x
_atom_site_fract_y
_atom_site_fract_z
_atom_site_occupancy
Rb1 0.0000 0.0000 0.0000 1
Li1 0.0000 0.0000 0.1562 1
U1 0.0000 0.0000 0.5000 1
F1 0.0000 0.0000 0.2374 1
F2 0.0003 0.5002 0.2212 1
```